1.
Starting from a structure optimized by DFT (GGA-PBE), the powder diffraction line list of Pm5Nd2Sc was simulated for Cu Kα.
No peak broadening, texture or thermal motion is included.

Top 10 peaks for 2θ from 10° to 80°, in order of rising 2θ:
2θ (°)  d_spacing  intensity
10.63  8.324  3.0
30.32  2.948  100.0
35.07  2.559  34.0
35.30  2.543  16.4
50.44  1.809  12.0
50.61  1.804  23.4
59.99  1.542  28.3
60.29  1.535  13.5
63.06  1.474  12.0
74.11  1.279  3.8

Atomic structure:
a b c (Å): 10.171 14.484 3.616
angles (deg): 90.00 90.00 90.00
Sites, in units of the cell vectors:
Pm1 0.000 0.000 0.000
Pm2 0.242 0.379 0.500
Pm3 0.242 0.621 0.500
Pm4 0.258 0.121 0.500
Pm5 0.258 0.879 0.500
Pm6 0.500 0.500 0.000
Pm7 0.742 0.121 0.500
Pm8 0.742 0.879 0.500
Pm9 0.758 0.379 0.500
Pm10 0.758 0.621 0.500
Nd1 0.000 0.249 0.000
Nd2 0.000 0.751 0.000
Nd3 0.500 0.251 0.000
Nd4 0.500 0.749 0.000
Sc1 0.000 0.500 0.000
Sc2 0.500 0.000 0.000

---

2.
Starting from a structure optimized by DFT (GGA-PBE), the powder diffraction line list of Pm4NdSc2 was simulated for Cu Kα.
No peak broadening, texture or thermal motion is included.

Top 10 peaks for 2θ from 10° to 80°, in order of rising 2θ:
2θ (°)  d_spacing  intensity
22.38  3.973  33.7
29.69  3.009  23.0
29.97  2.982  100.0
30.88  2.896  44.2
31.26  2.862  64.0
32.82  2.729  54.7
33.24  2.695  20.2
33.91  2.643  56.6
34.56  2.596  56.6
41.32  2.185  42.6

Atomic structure:
a b c (Å): 8.690 6.473 8.962
angles (deg): 90.00 117.55 90.00
Sites, in units of the cell vectors:
Pm1 0.006 0.250 0.065
Pm2 0.056 0.750 0.331
Pm3 0.408 0.506 0.272
Pm4 0.408 0.994 0.272
Pm5 0.592 0.006 0.728
Pm6 0.592 0.494 0.728
Pm7 0.944 0.250 0.669
Pm8 0.994 0.750 0.935
Nd1 0.249 0.750 0.761
Nd2 0.751 0.250 0.239
Sc1 0.202 0.250 0.500
Sc2 0.365 0.250 0.919
Sc3 0.635 0.750 0.081
Sc4 0.798 0.750 0.500

---

3.
Starting from a structure optimized by DFT (GGA-PBE), the powder diffraction line list of Pm2Nd5Sc2 was simulated for Cu Kα.
No peak broadening, texture or thermal motion is included.

Top 10 peaks for 2θ from 10° to 80°, in order of rising 2θ:
2θ (°)  d_spacing  intensity
28.69  3.111  28.6
28.81  3.099  18.2
31.01  2.884  49.2
31.74  2.819  100.0
33.38  2.684  64.8
33.53  2.672  29.4
45.40  1.998  16.0
50.59  1.804  24.7
54.51  1.683  18.7
60.54  1.529  27.9

Atomic structure:
a b c (Å): 9.534 9.534 9.595
angles (deg): 115.10 115.10 21.91
Sites, in units of the cell vectors:
Pm1 0.139 0.139 0.153
Pm2 0.861 0.861 0.847
Nd1 0.000 0.000 0.500
Nd2 0.184 0.184 0.831
Nd3 0.336 0.336 0.510
Nd4 0.664 0.664 0.490
Nd5 0.816 0.816 0.169
Sc1 0.483 0.483 0.167
Sc2 0.517 0.517 0.833

---

4.
Starting from a structure optimized by DFT (GGA-PBE), the powder diffraction line list of Pm3Nd4Sc2 was simulated for Cu Kα.
No peak broadening, texture or thermal motion is included.

Top 10 peaks for 2θ from 10° to 80°, in order of rising 2θ:
2θ (°)  d_spacing  intensity
28.80  3.100  44.0
30.24  2.956  44.8
31.85  2.810  100.0
33.45  2.679  76.8
42.24  2.139  27.2
51.02  1.790  35.4
53.67  1.708  22.6
60.47  1.531  37.0
61.41  1.510  15.2
62.40  1.488  12.6

Atomic structure:
a b c (Å): 3.580 3.580 26.601
angles (deg): 90.00 90.00 120.00
Sites, in units of the cell vectors:
Pm1 0.000 0.000 0.000
Pm2 0.000 0.000 0.333
Pm3 0.667 0.333 0.678
Nd1 0.000 0.000 0.564
Nd2 0.000 0.000 0.794
Nd3 0.667 0.333 0.223
Nd4 0.667 0.333 0.449
Sc1 0.667 0.333 0.101
Sc2 0.667 0.333 0.896